(1)
Calculated PXRD pattern
Compound: CaTbHo2Au4
Radiation: λ = 1.5418 Å (Cu Kα)
Structure: DFT lattice parameters and positions (PBE)
Neutral-atom scattering factors, no anomalous dispersion.

Most intense lines, 2θ = 5–70°, low angle first:
hkl 0 0 3, d = 8.347 Å, intensity 6; hkl 1 0 1, d = 4.334 Å, intensity 4; hkl 0 1 2, d = 4.152 Å, intensity 3; hkl 1 0 4, d = 3.600 Å, intensity 9; hkl 0 1 8, d = 2.551 Å, intensity 98; hkl 1 1 0, d = 2.541 Å, intensity 100; hkl 1 1 3, d = 2.431 Å, intensity 2; hkl 0 2 4, d = 2.076 Å, intensity 2; hkl 1 1 9, d = 1.876 Å, intensity 4; hkl 2 0 8, d = 1.800 Å, intensity 35; hkl 1 0 16, d = 1.475 Å, intensity 17; hkl 3 0 0, d = 1.468 Å, intensity 55

```
data_CaTbHo2Au4
_cell_length_a 5.0813
_cell_length_b 5.0813
_cell_length_c 25.0400
_cell_angle_alpha 90.00
_cell_angle_beta 90.00
_cell_angle_gamma 120.00
_symmetry_space_group_name_H-M 'R -3 m'
_symmetry_Int_Tables_number 166
_symmetry_space_group_name_Hall '-R 3 2"'
loop_
_atom_site_label
_atom_site_fract_x
_atom_site_fract_y
_atom_site_fract_z
Ca1 0.0000 0.0000 0.0000
Tb1 0.0000 0.0000 0.5000
Ho1 0.0000 0.0000 0.2518
Au1 0.0000 0.0000 0.1295
Au2 0.0000 0.0000 0.3783
```

=====

(2)
Calculated PXRD pattern
Compound: Ca3InAu3
Radiation: λ = 1.5418 Å (Cu Kα)
Structure: DFT lattice parameters and positions (PBE)
Neutral-atom scattering factors, no anomalous dispersion.

Most intense lines, 2θ = 5–70°, low angle first:
hkl 1 1 0, d = 4.086 Å, intensity 96; hkl 2 0 2, d = 3.764 Å, intensity 31; hkl 2 0 -4, d = 3.552 Å, intensity 43; hkl 1 1 3, d = 2.903 Å, intensity 28; hkl 1 1 -4, d = 2.843 Å, intensity 44; hkl 3 1 -4, d = 2.543 Å, intensity 54; hkl 3 1 2, d = 2.412 Å, intensity 100; hkl 4 0 2, d = 2.314 Å, intensity 26; hkl 0 2 0, d = 2.199 Å, intensity 38; hkl 5 1 -2, d = 2.068 Å, intensity 29; hkl 1 1 6, d = 1.929 Å, intensity 25; hkl 1 1 -7, d = 1.897 Å, intensity 22

```
data_Ca3InAu3
_cell_length_a 11.718
_cell_length_b 4.399
_cell_length_c 14.907
_cell_angle_alpha 90.00
_cell_angle_beta 109.70
_cell_angle_gamma 90.00
_symmetry_space_group_name_H-M 'C 1 2/m 1'
_symmetry_Int_Tables_number 12
_symmetry_space_group_name_Hall '-C 2y'
loop_
_atom_site_label
_atom_site_fract_x
_atom_site_fract_y
_atom_site_fract_z
Ca1 0.012 0.000 0.378
Ca2 0.111 0.000 0.924
Ca3 0.237 0.000 0.224
In1 0.227 0.500 0.397
Au1 0.011 0.500 0.228
Au2 0.116 0.500 0.076
Au3 0.125 0.500 0.549
```

=====

(3)
Calculated PXRD pattern
Compound: Ca2InAu6
Radiation: λ = 1.5418 Å (Cu Kα)
Structure: DFT lattice parameters and positions (PBE)
Neutral-atom scattering factors, no anomalous dispersion.

Most intense lines, 2θ = 5–70°, low angle first:
hkl 0 0 1, d = 5.823 Å, intensity 17; hkl 0 1 1, d = 3.976 Å, intensity 36; hkl 1 1 1, d = 2.765 Å, intensity 14; hkl 2 0 0, d = 2.721 Å, intensity 16; hkl 1 0 2, d = 2.567 Å, intensity 20; hkl 0 2 1, d = 2.465 Å, intensity 100; hkl 2 1 0, d = 2.057 Å, intensity 18; hkl 2 0 2, d = 1.988 Å, intensity 40; hkl 0 0 3, d = 1.941 Å, intensity 14; hkl 3 0 1, d = 1.732 Å, intensity 11; hkl 2 2 0, d = 1.571 Å, intensity 19; hkl 2 1 3, d = 1.412 Å, intensity 13

```
data_Ca2InAu6
_cell_length_a 6.2848
_cell_length_b 6.2848
_cell_length_c 5.8230
_cell_angle_alpha 90.00
_cell_angle_beta 90.00
_cell_angle_gamma 120.00
_symmetry_space_group_name_H-M 'P -3 m 1'
_symmetry_Int_Tables_number 164
_symmetry_space_group_name_Hall '-P 3 2"'
loop_
_atom_site_label
_atom_site_fract_x
_atom_site_fract_y
_atom_site_fract_z
Ca1 0.3333 0.6667 0.3356
In1 0.0000 0.0000 0.5000
Au1 0.1839 0.3678 0.8234
```

=====

(4)
Calculated PXRD pattern
Compound: CaIn3Au8
Radiation: λ = 1.5418 Å (Cu Kα)
Structure: DFT lattice parameters and positions (PBE)
Neutral-atom scattering factors, no anomalous dispersion.

Most intense lines, 2θ = 5–70°, low angle first:
hkl 0 0 6, d = 4.658 Å, intensity 21; hkl 0 1 2, d = 4.583 Å, intensity 58; hkl 1 0 10, d = 2.422 Å, intensity 53; hkl 1 1 6, d = 2.400 Å, intensity 100; hkl 2 0 2, d = 2.390 Å, intensity 50; hkl 0 0 12, d = 2.329 Å, intensity 33; hkl 0 2 4, d = 2.291 Å, intensity 98; hkl 2 0 8, d = 1.992 Å, intensity 37; hkl 2 1 10, d = 1.533 Å, intensity 25; hkl 3 0 6, d = 1.528 Å, intensity 25; hkl 0 2 16, d = 1.417 Å, intensity 32; hkl 2 2 0, d = 1.400 Å, intensity 32

```
data_CaIn3Au8
_cell_length_a 5.6013
_cell_length_b 5.6013
_cell_length_c 27.9478
_cell_angle_alpha 90.00
_cell_angle_beta 90.00
_cell_angle_gamma 120.00
_symmetry_space_group_name_H-M 'R 3 m'
_symmetry_Int_Tables_number 160
_symmetry_space_group_name_Hall 'R 3 -2"'
loop_
_atom_site_label
_atom_site_fract_x
_atom_site_fract_y
_atom_site_fract_z
Ca1 0.0000 0.0000 0.0000
In1 0.0000 0.0000 0.1273
In2 0.0000 0.0000 0.4987
In3 0.0000 0.0000 0.6196
Au1 0.0000 0.0000 0.3130
Au2 0.0000 0.0000 0.8128
Au3 0.0006 0.5003 0.5636
Au4 0.1674 0.3348 0.3953
```